For Li4AcSb3O12, a structure optimized by DFT (PBE) gives the calculated PXRD pattern in this record (λ = 1.5418 Å (Cu Kα)).

Top 6 peaks for 2θ = 10–80°, sorted by position:
hkl 1 1 0, 15.9°, intensity 36; hkl 0 2 1, 22.0°, intensity 100; hkl 2 1 1, 27.3°, intensity 22; hkl 2 0 2, 30.5°, intensity 52; hkl 2 2 0, 32.2°, intensity 20; hkl 3 1 2, 41.7°, intensity 20

Structural model:
a b c (Å): 11.1163 11.1163 7.4003
angles (deg): 90.00 90.00 120.00
Space group R32 (No. 155, hexagonal axes)
One atom of each set of equivalent atoms:
Li 0.0000 0.0000 0.0000 x3
Li 0.0000 0.4274 0.0000 x9
Ac 0.0000 0.0000 0.5000 x3
Sb 0.0000 0.5630 0.5000 x9
O 0.0000 0.5983 0.0000 x9
O 0.0000 0.8303 0.0000 x9
O 0.0655 0.2209 0.6832 x18

For LiAcSeO5, a structure optimized by DFT (PBE) gives the calculated PXRD pattern in this record (λ = 1.5418 Å (Cu Kα)).

Top 6 peaks for 2θ = 10–80°, sorted by position:
hkl 1 1 0, 15.0°, intensity 60; hkl 0 2 0, 19.9°, intensity 41; hkl 2 0 0, 22.5°, intensity 68; hkl 1 1 -2, 23.0°, intensity 100; hkl 1 3 0, 32.1°, intensity 62; hkl 1 1 2, 32.6°, intensity 28

Structural model:
a b c (Å): 9.052 8.923 8.605
angles (deg): 90.00 119.33 90.00
Space group C2/c (No. 15)
One atom of each set of equivalent atoms:
Li 0.000 0.188 0.250 x4
Ac 0.000 0.500 0.000 x4
Se 0.000 0.115 0.750 x4
O 0.000 0.393 0.250 x4
O 0.004 0.222 0.911 x8
O 0.165 0.004 0.333 x8

For LiAc2TcO6, a structure optimized by DFT (PBE) gives the calculated PXRD pattern in this record (λ = 1.5418 Å (Cu Kα)).

Top 6 peaks for 2θ = 10–80°, sorted by position:
hkl 1 1 -1, 21.9°, intensity 32; hkl 0 2 0, 31.1°, intensity 18; hkl 2 0 -2, 31.3°, intensity 100; hkl 2 0 -4, 38.5°, intensity 28; hkl 2 2 -2, 44.7°, intensity 20; hkl 3 1 -5, 55.6°, intensity 26

Structural model:
a b c (Å): 5.728 5.747 9.890
angles (deg): 90.00 125.38 90.00
Space group P2_1/c (No. 14)
One atom of each set of equivalent atoms:
Li 0.000 0.000 0.000 x2
Ac 0.254 0.036 0.749 x4
Tc 0.500 0.000 0.500 x2
O 0.191 0.014 0.259 x4
O 0.262 0.707 0.036 x4
O 0.333 0.226 0.037 x4

For Li4AcTe3O12, a structure optimized by DFT (PBE) gives the calculated PXRD pattern in this record (λ = 1.5418 Å (Cu Kα)).

Top 6 peaks for 2θ = 10–80°, sorted by position:
hkl 1 1 0, 16.1°, intensity 35; hkl 0 2 1, 22.0°, intensity 100; hkl 2 1 1, 27.4°, intensity 21; hkl 2 0 2, 30.2°, intensity 53; hkl 3 1 2, 41.7°, intensity 20; hkl 2 2 3, 49.1°, intensity 22

Structural model:
a b c (Å): 11.0376 11.0376 7.5254
angles (deg): 90.00 90.00 120.00
Space group R32 (No. 155, hexagonal axes)
One atom of each set of equivalent atoms:
Li 0.0000 0.0000 0.0000 x3
Li 0.0000 0.4288 0.0000 x9
Ac 0.0000 0.0000 0.5000 x3
Te 0.0000 0.5626 0.5000 x9
O 0.0000 0.6016 0.0000 x9
O 0.0000 0.8292 0.0000 x9
O 0.0637 0.2196 0.6934 x18

For Li2AcTi3O8, a structure optimized by DFT (PBE) gives the calculated PXRD pattern in this record (λ = 1.5418 Å (Cu Kα)).

Top 6 peaks for 2θ = 10–80°, sorted by position:
hkl 1 0 1, 17.6°, intensity 77; hkl 0 1 2, 19.8°, intensity 100; hkl 1 0 4, 26.8°, intensity 72; hkl 0 1 5, 31.1°, intensity 36; hkl 1 1 3, 33.4°, intensity 73; hkl 0 2 1, 34.4°, intensity 49

Structural model:
a b c (Å): 6.0883 6.0883 17.1223
angles (deg): 90.00 90.00 120.00
Space group R3m (No. 160, hexagonal axes)
One atom of each set of equivalent atoms:
Li 0.0000 0.0000 0.0000 x3
Li 0.0000 0.0000 0.4468 x3
Ac 0.0000 0.0000 0.7880 x3
Ti 0.0110 0.5055 0.9252 x9
O 0.0000 0.0000 0.1948 x3
O 0.0000 0.0000 0.6492 x3
O 0.0416 0.5208 0.1913 x9
O 0.1799 0.3598 0.9873 x9

For LiAc2TlO6, a structure optimized by DFT (PBE) gives the calculated PXRD pattern in this record (λ = 1.5418 Å (Cu Kα)).

Top 6 peaks for 2θ = 10–80°, sorted by position:
hkl 1 0 0, 15.5°, intensity 22; hkl 1 1 1, 29.3°, intensity 100; hkl 2 0 0, 31.3°, intensity 44; hkl 2 2 0, 44.8°, intensity 24; hkl 2 0 2, 50.6°, intensity 24; hkl 3 1 1, 54.4°, intensity 37

Structural model:
a b c (Å): 5.721 5.721 4.643
angles (deg): 90.00 90.00 90.00
Space group P4mm (No. 99)
One atom of each set of equivalent atoms:
Li 0.000 0.000 0.000 x1
Ac 0.000 0.500 0.449 x2
Tl 0.500 0.500 0.025 x1
O 0.000 0.000 0.556 x1
O 0.240 0.240 0.114 x4
O 0.500 0.500 0.554 x1